[1]
Calculated powder diffraction line list
Compound: Pr7HoTm12
Radiation: Cu Kα (λ = 1.5418 Å)
Structure: a cell relaxed with PBE
Intensities are scaled so that the largest is 100.

Cell and atoms:
a = 8.7601 Å, b = 8.7601 Å, c = 8.7601 Å
α = 85.90°, β = 85.90°, γ = 85.90°
Atoms (fractional coordinates):
Pr  0.0000  0.0000  0.0000
Pr  0.1019  0.3426  0.4198
Pr  0.3426  0.4198  0.1019
Pr  0.4198  0.1019  0.3426
Pr  0.5802  0.8981  0.6574
Pr  0.6574  0.5802  0.8981
Pr  0.8981  0.6574  0.5802
Ho  0.5000  0.5000  0.5000
Tm  0.0026  0.3637  0.8837
Tm  0.1163  0.9974  0.6363
Tm  0.2277  0.7533  0.3568
Tm  0.2467  0.6432  0.7723
Tm  0.3568  0.2277  0.7533
Tm  0.3637  0.8837  0.0026
Tm  0.6363  0.1163  0.9974
Tm  0.6432  0.7723  0.2467
Tm  0.7533  0.3568  0.2277
Tm  0.7723  0.2467  0.6432
Tm  0.8837  0.0026  0.3637
Tm  0.9974  0.6363  0.1163

Top 10 peaks for 5 to 70 degrees two-theta, sorted by position:
two_theta  I_rel
28.8  27
30.8  43
31.7  100
31.8  49
32.6  22
33.1  61
36.5  19
50.7  22
55.5  25
58.9  19

=====

[2]
Calculated powder diffraction line list
Compound: AcMgTl5
Radiation: Cu Kα (λ = 1.5418 Å)
Structure: a cell relaxed with PBE
Intensities are scaled so that the largest is 100.

Cell and atoms:
a = 5.2014 Å, b = 5.2014 Å, c = 7.9165 Å
α = 90.00°, β = 90.00°, γ = 90.00°
Atoms (fractional coordinates):
Ac  0.0000  0.0000  0.0000
Mg  0.0000  0.0000  0.5000
Tl  0.0000  0.5000  0.2950
Tl  0.0000  0.5000  0.7050
Tl  0.5000  0.0000  0.2950
Tl  0.5000  0.0000  0.7050
Tl  0.5000  0.5000  0.0000

Top 10 peaks for 5 to 70 degrees two-theta, sorted by position:
two_theta  I_rel
26.7  53
33.3  100
34.0  19
34.5  56
49.2  27
49.6  21
57.2  13
61.0  36
61.5  14
64.0  17